Record 1
Computed XRD peak list of Li9Mn2Co5O16 for CuKα, from DFT lattice parameters and positions (PBE+U).
No peak broadening, texture or thermal motion is included.

Structural model:
Unit cell a=5.7837 b=5.8417 c=9.7538 alpha=98.38 beta=90.04 gamma=119.46
Atoms (fractional coordinates):
Li (0.0000, 0.0000, 0.0000)
Li (0.0006, 0.4978, 0.0008)
Li (0.2438, 0.0012, 0.5122)
Li (0.2526, 0.5039, 0.5141)
Li (0.4987, 0.9974, 0.0040)
Li (0.5099, 0.5130, 0.9995)
Li (0.6227, 0.7496, 0.7553)
Li (0.7402, 0.9876, 0.5089)
Li (0.7411, 0.4971, 0.5054)
Mn (0.6226, 0.2492, 0.7554)
Mn (0.8720, 0.2486, 0.2556)
Co (0.1223, 0.2495, 0.7561)
Co (0.1224, 0.7494, 0.7558)
Co (0.3712, 0.7488, 0.2563)
Co (0.3720, 0.2495, 0.2555)
Co (0.8743, 0.7492, 0.2551)
O (0.0370, 0.6009, 0.3712)
O (0.0471, 0.1226, 0.3698)
O (0.1697, 0.3696, 0.1413)
O (0.1951, 0.8960, 0.1380)
O (0.2808, 0.5994, 0.8589)
O (0.3285, 0.1575, 0.8725)
O (0.4210, 0.3577, 0.6463)
O (0.4249, 0.8901, 0.6486)
O (0.5518, 0.6051, 0.3745)
O (0.5739, 0.1287, 0.3707)
O (0.6977, 0.3740, 0.1409)
O (0.7049, 0.8938, 0.1387)
O (0.8183, 0.6077, 0.8619)
O (0.8224, 0.1401, 0.8637)
O (0.9184, 0.3421, 0.6402)
O (0.9652, 0.9000, 0.6532)

Top 10 peaks for 2θ = 10–90°, by angle:
d/Å  2θ (°)  I_rel
4.807  18.46  1000
2.507  35.82  138
2.479  36.24  137
2.471  36.35  126
2.084  43.42  269
2.062  43.92  261
2.057  44.02  260
1.901  47.86  83
1.591  57.96  94
1.467  63.41  209

Record 2
Computed XRD peak list of FeOF for CuKα, from DFT lattice parameters and positions (PBE+U).
No peak broadening, texture or thermal motion is included.

Structural model:
Unit cell a=6.7152 b=3.0990 c=10.6110 alpha=90.00 beta=108.34 gamma=90.00
Atoms (fractional coordinates):
Fe (0.0000, 0.0000, 0.0000)
Fe (0.1432, 0.5000, 0.3600)
Fe (0.3037, 0.0000, 0.6669)
Fe (0.4752, 0.5000, 0.0262)
Fe (0.6677, 0.0000, 0.3337)
Fe (0.8531, 0.5000, 0.6931)
O (0.0213, 0.0000, 0.6824)
O (0.2703, 0.5000, 0.5528)
O (0.2970, 0.0000, 0.0142)
O (0.5950, 0.5000, 0.2193)
O (0.9188, 0.5000, 0.8860)
O (0.9658, 0.0000, 0.3507)
F (0.0592, 0.5000, 0.1473)
F (0.3561, 0.0000, 0.3480)
F (0.4000, 0.5000, 0.8138)
F (0.6303, 0.0000, 0.6826)
F (0.6900, 0.0000, 0.0174)
F (0.7169, 0.5000, 0.4805)

Top 10 peaks for 2θ = 10–90°, by angle:
d/Å  2θ (°)  I_rel
3.357  26.55  1000
2.595  34.56  550
2.374  37.89  77
2.277  39.58  189
2.123  42.58  109
1.752  52.22  588
1.679  54.67  162
1.549  59.67  97
1.411  66.26  106
1.408  66.42  214

Record 3
Computed XRD peak list of Li2MnF6 for CuKα, from DFT lattice parameters and positions (PBE+U).
No peak broadening, texture or thermal motion is included.

Structural model:
Unit cell a=6.8103 b=6.8103 c=7.7537 alpha=93.03 beta=93.03 gamma=134.38
Atoms (fractional coordinates):
Li (0.2143, 0.7669, 0.9475)
Li (0.2331, 0.7857, 0.5525)
Li (0.7669, 0.2143, 0.4475)
Li (0.7857, 0.2331, 0.0525)
Mn (0.3709, 0.6291, 0.2500)
Mn (0.6291, 0.3709, 0.7500)
F (0.0398, 0.5195, 0.3218)
F (0.1722, 0.4631, 0.0285)
F (0.2481, 0.3179, 0.3139)
F (0.3179, 0.2481, 0.8139)
F (0.4631, 0.1722, 0.5285)
F (0.4805, 0.9602, 0.1782)
F (0.5195, 0.0398, 0.8218)
F (0.5369, 0.8278, 0.4715)
F (0.6821, 0.7519, 0.1861)
F (0.7519, 0.6821, 0.6861)
F (0.8278, 0.5369, 0.9715)
F (0.9602, 0.4805, 0.6782)

Top 10 peaks for 2θ = 10–90°, by angle:
d/Å  2θ (°)  I_rel
4.861  18.25  1000
4.828  18.37  426
4.342  20.46  340
3.874  22.96  123
3.841  23.16  154
3.269  27.28  128
3.104  28.76  157
2.207  40.89  159
2.153  41.97  191
1.862  48.91  191

Record 4
Computed XRD peak list of Na3V5O10 for CuKα, from DFT lattice parameters and positions (PBE+U).
No peak broadening, texture or thermal motion is included.

Structural model:
Unit cell a=5.2004 b=6.5777 c=13.3780 alpha=91.90 beta=97.77 gamma=104.57
Atoms (fractional coordinates):
Na (0.0000, 0.0000, 0.0000)
Na (0.0028, 0.8003, 0.2006)
Na (0.4963, 0.2960, 0.7006)
Na (0.5000, 0.5000, 0.5000)
Na (0.5037, 0.7040, 0.2994)
Na (0.9972, 0.1997, 0.7994)
V (0.9998, 0.1090, 0.3998)
V (0.0000, 0.5000, 0.0000)
V (0.0002, 0.8910, 0.6002)
V (0.0006, 0.3005, 0.2035)
V (0.4967, 0.3929, 0.0998)
V (0.4976, 0.7996, 0.7031)
V (0.5000, 0.0000, 0.5000)
V (0.5024, 0.2004, 0.2969)
V (0.5033, 0.6071, 0.9002)
V (0.9994, 0.6995, 0.7965)
O (0.2032, 0.7451, 0.9327)
O (0.2160, 0.9530, 0.7404)
O (0.2215, 0.5515, 0.1390)
O (0.2244, 0.3657, 0.3304)
O (0.2481, 0.1487, 0.5365)
O (0.2532, 0.3545, 0.9623)
O (0.2604, 0.1464, 0.1601)
O (0.2709, 0.5461, 0.7641)
O (0.2759, 0.9530, 0.3609)
O (0.2830, 0.7558, 0.5631)
O (0.7170, 0.2442, 0.4369)
O (0.7241, 0.0470, 0.6391)
O (0.7291, 0.4539, 0.2359)
O (0.7396, 0.8536, 0.8399)
O (0.7468, 0.6455, 0.0377)
O (0.7519, 0.8513, 0.4635)
O (0.7756, 0.6343, 0.6696)
O (0.7785, 0.4485, 0.8610)
O (0.7840, 0.0470, 0.2596)
O (0.7968, 0.2549, 0.0673)

Top 10 peaks for 2θ = 10–90°, by angle:
d/Å  2θ (°)  I_rel
5.574  15.90  1000
2.787  32.11  113
2.567  34.96  103
2.491  36.05  108
2.235  40.36  298
2.202  40.99  564
1.636  56.23  73
1.633  56.36  75
1.625  56.66  72
1.510  61.40  151

Record 5
Computed XRD peak list of SrNdCo4O12 for CuKα, from DFT lattice parameters and positions (PBE+U).
No peak broadening, texture or thermal motion is included.

Structural model:
Unit cell a=5.3403 b=5.3403 c=7.5562 alpha=90.00 beta=90.00 gamma=90.00
Atoms (fractional coordinates):
Sr (0.0000, 0.0000, 0.0000)
Nd (0.5000, 0.5000, 0.5000)
Co (0.0000, 0.5000, 0.2466)
Co (0.0000, 0.5000, 0.7534)
Co (0.5000, 0.0000, 0.2466)
Co (0.5000, 0.0000, 0.7534)
O (0.0000, 0.5000, 0.0000)
O (0.0000, 0.5000, 0.5000)
O (0.2574, 0.2574, 0.2587)
O (0.2574, 0.2574, 0.7413)
O (0.2574, 0.7426, 0.2587)
O (0.2574, 0.7426, 0.7413)
O (0.5000, 0.0000, 0.0000)
O (0.5000, 0.0000, 0.5000)
O (0.7426, 0.2574, 0.2587)
O (0.7426, 0.2574, 0.7413)
O (0.7426, 0.7426, 0.2587)
O (0.7426, 0.7426, 0.7413)

Top 10 peaks for 2θ = 10–90°, by angle:
d/Å  2θ (°)  I_rel
4.361  20.36  740
2.671  33.56  1000
2.278  39.57  398
1.888  48.19  444
1.733  52.83  172
1.542  60.00  377
1.454  64.05  130
1.335  70.53  246
1.277  74.28  124
1.194  80.40  160

Record 6
Computed XRD peak list of VOF for CuKα, from DFT lattice parameters and positions (PBE+U).
No peak broadening, texture or thermal motion is included.

Structural model:
Unit cell a=4.7468 b=3.1096 c=14.2355 alpha=90.00 beta=93.30 gamma=90.00
Atoms (fractional coordinates):
V (0.0000, 0.0000, 0.0000)
V (0.0236, 0.0000, 0.6665)
V (0.4869, 0.5000, 0.1666)
V (0.5118, 0.5000, 0.8335)
V (0.5567, 0.5000, 0.5000)
V (0.9595, 0.0000, 0.3339)
O (0.2930, 0.0000, 0.1002)
O (0.3162, 0.0000, 0.7663)
O (0.6891, 0.0000, 0.2310)
O (0.7069, 0.0000, 0.8997)
O (0.7240, 0.0000, 0.5679)
O (0.8041, 0.5000, 0.3996)
F (0.1919, 0.5000, 0.2716)
F (0.2003, 0.5000, 0.9350)
F (0.2187, 0.5000, 0.5982)
F (0.3090, 0.0000, 0.4343)
F (0.7997, 0.5000, 0.0644)
F (0.8230, 0.5000, 0.7315)

Top 10 peaks for 2θ = 10–90°, by angle:
d/Å  2θ (°)  I_rel
3.451  25.82  1000
3.258  27.37  958
2.600  34.50  970
2.310  38.98  247
2.249  40.08  227
1.779  51.35  660
1.725  53.11  711
1.629  56.49  167
1.555  59.45  202
1.408  66.39  433

Record 7
Computed XRD peak list of Mn2V3NiO8 for CuKα, from DFT lattice parameters and positions (PBE+U).
No peak broadening, texture or thermal motion is included.

Structural model:
Unit cell a=6.0623 b=6.0995 c=10.4977 alpha=74.59 beta=74.26 gamma=60.90
Atoms (fractional coordinates):
Mn (0.0682, 0.0561, 0.3151)
Mn (0.4321, 0.4434, 0.1854)
Mn (0.5679, 0.5566, 0.8146)
Mn (0.9318, 0.9439, 0.6849)
V (0.0000, 0.0000, 0.0000)
V (0.0000, 0.5000, 0.0000)
V (0.0000, 0.5000, 0.5000)
V (0.5000, 0.0000, 0.0000)
V (0.5000, 0.0000, 0.5000)
V (0.5000, 0.5000, 0.5000)
Ni (0.2499, 0.2498, 0.7499)
Ni (0.7501, 0.7502, 0.2501)
O (0.0917, 0.6542, 0.1145)
O (0.1277, 0.5984, 0.6124)
O (0.1411, 0.1255, 0.1081)
O (0.1405, 0.1489, 0.6076)
O (0.3592, 0.3518, 0.8917)
O (0.3588, 0.3745, 0.3921)
O (0.3718, 0.9017, 0.8872)
O (0.4090, 0.8447, 0.3859)
O (0.5910, 0.1553, 0.6141)
O (0.6282, 0.0983, 0.1128)
O (0.6412, 0.6255, 0.6079)
O (0.6408, 0.6482, 0.1083)
O (0.8595, 0.8511, 0.3924)
O (0.8589, 0.8745, 0.8919)
O (0.8723, 0.4016, 0.3876)
O (0.9083, 0.3458, 0.8855)

Top 10 peaks for 2θ = 10–90°, by angle:
d/Å  2θ (°)  I_rel
4.987  17.79  367
3.080  28.99  329
3.048  29.30  315
2.629  34.10  996
2.611  34.34  1000
2.573  34.87  978
1.682  54.57  346
1.668  55.06  334
1.540  60.08  472
1.524  60.78  451